No. 1
# NdThGaTc
Simulated powder X-ray diffraction pattern, Cu Ka. Input: a PBE-relaxed structure.
No peak broadening, texture or thermal motion is included.

a = 3.9341 Å, b = 4.1635 Å, c = 12.0383 Å
α = 90.00°, β = 90.00°, γ = 90.00°
Element x y z (fractional)
Nd  0.0000  0.0000  0.0000
Nd  0.0000  0.5000  0.5000
Th  0.5000  0.0000  0.2776
Th  0.5000  0.5000  0.7776
Ga  0.5000  0.0000  0.5861
Ga  0.5000  0.5000  0.0861
Tc  0.0000  0.0000  0.7344
Tc  0.0000  0.5000  0.2344

Peak list (10 most intense, 2θ = 15–90°, in order of rising 2θ)
d [Å], I/Imax
3.293, 28
3.010, 37
2.889, 46
2.782, 100
2.390, 17
2.329, 61
2.082, 24
1.967, 22
1.842, 19
1.626, 17

---

No. 2
# BaLiSbCl6
Simulated powder X-ray diffraction pattern, Cu Ka. Input: a PBE-relaxed structure.
No peak broadening, texture or thermal motion is included.

a = 6.8535 Å, b = 6.8535 Å, c = 6.7289 Å
α = 90.00°, β = 90.00°, γ = 120.00°
Element x y z (fractional)
Ba  0.0000  0.0000  0.0000
Li  0.3333  0.6667  0.5000
Sb  0.6667  0.3333  0.5000
Cl  0.0065  0.3692  0.7234
Cl  0.0065  0.6373  0.2766
Cl  0.3627  0.3692  0.2766
Cl  0.3627  0.9935  0.7234
Cl  0.6308  0.6373  0.7234
Cl  0.6308  0.9935  0.2766

Peak list (10 most intense, 2θ = 15–90°, in order of rising 2θ)
d [Å], I/Imax
4.451, 100
3.427, 12
3.054, 26
2.927, 14
2.715, 26
2.401, 52
2.128, 29
2.098, 12
1.978, 21
1.599, 13